This entry pairs a crystal structure of LiMn2P2O8 with its computed powder XRD pattern. Radiation: Cu Kα. Structure: the GGA+U geometry in the Materials Project.
Peak positions follow from Bragg's law for the DFT cell and can differ from measured ones.

Top 6 peaks for 10° ≤ 2θ ≤ 80°, in order of rising 2θ:
2θ = 13.51°, 6.556 Å, intensity 50; 2θ = 18.52°, 4.790 Å, intensity 100; 2θ = 23.44°, 3.795 Å, intensity 49; 2θ = 31.23°, 2.864 Å, intensity 55; 2θ = 32.99°, 2.715 Å, intensity 57; 2θ = 33.33°, 2.688 Å, intensity 74

Crystal structure
Lattice parameters (Å, degrees): 7.504 7.542 9.580 90.23 90.35 119.41
Space group P1 (No. 1)
Symmetry-distinct sites (fractional):
Li  0.000  0.000  0.000 (multiplicity 1)
Li  0.197  0.382  0.501 (multiplicity 1)
Li  0.746  0.228  0.504 (multiplicity 1)
Mn  0.003  0.643  0.787 (multiplicity 1)
Mn  0.367  0.149  0.777 (multiplicity 1)
Mn  0.413  0.231  0.270 (multiplicity 1)
Mn  0.509  0.795  0.801 (multiplicity 1)
Mn  0.556  0.744  0.296 (multiplicity 1)
Mn  0.903  0.606  0.284 (multiplicity 1)
P  0.284  0.842  0.084 (multiplicity 1)
P  0.291  0.856  0.487 (multiplicity 1)
P  0.620  0.538  0.584 (multiplicity 1)
P  0.627  0.531  0.986 (multiplicity 1)
P  0.950  0.192  0.750 (multiplicity 1)
P  0.951  0.191  0.250 (multiplicity 1)
O  0.057  0.411  0.810 (multiplicity 1)
O  0.064  0.082  0.807 (multiplicity 1)
O  0.080  0.803  0.430 (multiplicity 1)
O  0.104  0.641  0.137 (multiplicity 1)
O  0.173  0.287  0.311 (multiplicity 1)
O  0.242  0.018  0.116 (multiplicity 1)
O  0.287  0.857  0.653 (multiplicity 1)
O  0.303  0.839  0.919 (multiplicity 1)
O  0.343  0.688  0.441 (multiplicity 1)
O  0.406  0.361  0.617 (multiplicity 1)
O  0.456  0.067  0.438 (multiplicity 1)
O  0.468  0.592  0.937 (multiplicity 1)
O  0.488  0.881  0.151 (multiplicity 1)
O  0.569  0.320  0.932 (multiplicity 1)
O  0.624  0.527  0.154 (multiplicity 1)
O  0.636  0.562  0.417 (multiplicity 1)
O  0.650  0.737  0.654 (multiplicity 1)
O  0.720  0.080  0.799 (multiplicity 1)
O  0.788  0.490  0.628 (multiplicity 1)
O  0.834  0.967  0.310 (multiplicity 1)
O  0.843  0.697  0.943 (multiplicity 1)
O  0.849  0.312  0.315 (multiplicity 1)
O  0.942  0.182  0.094 (multiplicity 1)
O  0.954  0.200  0.591 (multiplicity 1)

=====

This entry pairs a crystal structure of LiMn4P3O12 with its computed powder XRD pattern. Radiation: Cu Kα. Structure: the GGA+U geometry in the Materials Project.
Peak positions follow from Bragg's law for the DFT cell and can differ from measured ones.

Top 6 peaks for 10° ≤ 2θ ≤ 80°, in order of rising 2θ:
2θ = 19.68°, 4.511 Å, intensity 80; 2θ = 28.97°, 3.082 Å, intensity 83; 2θ = 29.10°, 3.069 Å, intensity 100; 2θ = 30.01°, 2.978 Å, intensity 69; 2θ = 31.62°, 2.829 Å, intensity 94; 2θ = 31.92°, 2.804 Å, intensity 72

Crystal structure
Lattice parameters (Å, degrees): 7.485 7.804 9.860 110.33 110.79 94.49
Space group P-1 (No. 2)
Symmetry-distinct sites (fractional):
Li  0.034  0.183  0.340 (multiplicity 2)
Mn  0.032  0.316  0.718 (multiplicity 2)
Mn  0.337  0.996  0.087 (multiplicity 2)
Mn  0.359  0.596  0.082 (multiplicity 2)
Mn  0.446  0.666  0.450 (multiplicity 2)
P  0.090  0.313  0.087 (multiplicity 2)
P  0.290  0.049  0.602 (multiplicity 2)
P  0.326  0.624  0.747 (multiplicity 2)
O  0.101  0.572  0.664 (multiplicity 2)
O  0.131  0.061  0.667 (multiplicity 2)
O  0.137  0.730  0.990 (multiplicity 2)
O  0.153  0.170  0.160 (multiplicity 2)
O  0.170  0.309  0.961 (multiplicity 2)
O  0.178  0.522  0.218 (multiplicity 2)
O  0.255  0.841  0.486 (multiplicity 2)
O  0.282  0.179  0.511 (multiplicity 2)
O  0.381  0.500  0.846 (multiplicity 2)
O  0.402  0.834  0.866 (multiplicity 2)
O  0.433  0.582  0.632 (multiplicity 2)
O  0.497  0.886  0.261 (multiplicity 2)

=====

This entry pairs a crystal structure of LiMnPO4 with its computed powder XRD pattern. Radiation: Cu Kα. Structure: the GGA+U geometry in the Materials Project.
Peak positions follow from Bragg's law for the DFT cell and can differ from measured ones.

Top 6 peaks for 10° ≤ 2θ ≤ 80°, in order of rising 2θ:
2θ = 21.07°, 4.216 Å, intensity 26; 2θ = 23.55°, 3.778 Å, intensity 33; 2θ = 24.06°, 3.699 Å, intensity 34; 2θ = 30.04°, 2.975 Å, intensity 46; 2θ = 31.45°, 2.845 Å, intensity 100; 2θ = 33.11°, 2.706 Å, intensity 26

Crystal structure
Lattice parameters (Å, degrees): 7.710 8.668 4.825 90.00 90.00 90.00
Space group Pna2_1 (No. 33)
Symmetry-distinct sites (fractional):
Li  0.141  0.024  0.000 (multiplicity 4)
Mn  0.029  0.678  0.940 (multiplicity 4)
P  0.245  0.859  0.513 (multiplicity 4)
O  0.087  0.451  0.094 (multiplicity 4)
O  0.088  0.947  0.625 (multiplicity 4)
O  0.240  0.833  0.192 (multiplicity 4)
O  0.244  0.202  0.168 (multiplicity 4)

=====

This entry pairs a crystal structure of LiMnPO4 with its computed powder XRD pattern. Radiation: Cu Kα. Structure: the GGA+U geometry in the Materials Project.
Peak positions follow from Bragg's law for the DFT cell and can differ from measured ones.

Top 6 peaks for 10° ≤ 2θ ≤ 80°, in order of rising 2θ:
2θ = 20.90°, 4.250 Å, intensity 52; 2θ = 22.92°, 3.880 Å, intensity 47; 2θ = 24.56°, 3.625 Å, intensity 42; 2θ = 28.29°, 3.155 Å, intensity 60; 2θ = 29.57°, 3.020 Å, intensity 100; 2θ = 32.14°, 2.785 Å, intensity 61

Crystal structure
Lattice parameters (Å, degrees): 8.011 4.919 8.581 90.00 99.30 90.00
Space group P2_1 (No. 4)
Symmetry-distinct sites (fractional):
Li  0.132  0.000  0.436 (multiplicity 2)
Li  0.333  0.486  0.923 (multiplicity 2)
Mn  0.022  0.059  0.784 (multiplicity 2)
Mn  0.494  0.493  0.318 (multiplicity 2)
P  0.238  0.469  0.568 (multiplicity 2)
P  0.279  0.965  0.112 (multiplicity 2)
O  0.075  0.425  0.444 (multiplicity 2)
O  0.155  0.875  0.225 (multiplicity 2)
O  0.202  0.341  0.724 (multiplicity 2)
O  0.204  0.869  0.942 (multiplicity 2)
O  0.282  0.772  0.592 (multiplicity 2)
O  0.304  0.278  0.122 (multiplicity 2)
O  0.382  0.310  0.506 (multiplicity 2)
O  0.453  0.821  0.155 (multiplicity 2)